# 1
For Nd4Cd2Ga, a PBE-relaxed structure gives the simulated XRD peak list in this record (λ = 1.5418 Å (Cu Kα)).
Neutral-atom scattering factors, no anomalous dispersion.

Principal peaks in the range 10° ≤ 2θ ≤ 90°, low angle first:
h k l, 2θ (°), d (Å), I_rel
1 0 4, 23.7, 3.754, 23
1 1 0, 33.6, 2.667, 100
0 1 8, 33.9, 2.643, 97
2 0 8, 48.5, 1.877, 35
3 0 0, 60.1, 1.540, 18
1 2 8, 60.3, 1.535, 36
1 0 16, 60.9, 1.521, 17
2 2 0, 70.6, 1.333, 11
3 1 8, 80.7, 1.190, 15
2 1 16, 81.3, 1.184, 15

```
data_Nd4Cd2Ga
_chemical_formula_sum 'Nd12 Cd6 Ga3'
_symmetry_space_group_name_H-M 'R -3 m'
_symmetry_Int_Tables_number 166
_symmetry_space_group_name_Hall '-R 3 2"'
_cell_length_a 5.3337
_cell_length_b 5.3337
_cell_length_c 25.7747
_cell_angle_alpha 90.00
_cell_angle_beta 90.00
_cell_angle_gamma 120.00
loop_
_atom_site_label
_atom_site_fract_x
_atom_site_fract_y
_atom_site_fract_z
Nd1 0.0000 0.0000 0.1222
Nd2 0.0000 0.0000 0.3741
Cd1 0.0000 0.0000 0.2482
Ga1 0.0000 0.0000 0.5000
```


# 2
For Nd7Cd2Ga2, a PBE-relaxed structure gives the simulated XRD peak list in this record (λ = 1.5418 Å (Cu Kα)).
Neutral-atom scattering factors, no anomalous dispersion.

Principal peaks in the range 10° ≤ 2θ ≤ 90°, low angle first:
h k l, 2θ (°), d (Å), I_rel
2 0 1, 25.6, 3.480, 100
2 2 0, 28.6, 3.123, 71
1 3 1, 29.3, 3.043, 26
2 0 2, 31.7, 2.825, 25
0 0 3, 32.0, 2.796, 34
0 4 0, 33.1, 2.709, 60
1 3 2, 34.8, 2.577, 69
2 2 2, 35.8, 2.505, 94
2 2 3, 43.4, 2.083, 40
3 3 1, 44.8, 2.021, 22

```
data_Nd7Cd2Ga2
_chemical_formula_sum 'Nd14 Cd4 Ga4'
_symmetry_space_group_name_H-M 'C m m m'
_symmetry_Int_Tables_number 65
_symmetry_space_group_name_Hall '-C 2 2'
_cell_length_a 7.644
_cell_length_b 10.837
_cell_length_c 8.387
_cell_angle_alpha 90.00
_cell_angle_beta 90.00
_cell_angle_gamma 90.00
loop_
_atom_site_label
_atom_site_fract_x
_atom_site_fract_y
_atom_site_fract_z
Nd1 0.000 0.000 0.000
Nd2 0.000 0.500 0.287
Nd3 0.250 0.250 0.298
Cd1 0.000 0.305 0.000
Ga1 0.166 0.000 0.500
```